1.
Computed powder X-ray diffraction pattern of Sr3Li5Cd for Cu Ka, from the GGA-PBE geometry in Alexandria.
Lines closer than 0.1° are merged.

Top 10 peaks for 2θ = 5–70°, low angle first:
| 2θ (°) | I_rel |
| --- | --- |
| 17.7 | 93 |
| 21.8 | 43 |
| 25.2 | 74 |
| 28.2 | 46 |
| 30.9 | 100 |
| 38.2 | 45 |
| 42.3 | 32 |
| 44.3 | 39 |
| 49.9 | 40 |
| 59.9 | 23 |

Structural model:
```
Sr3Li5Cd
1.0
8.1670 0.0000 0.0000
-4.0835 7.0728 0.0000
0.0000 0.0000 5.0135
Sr Li Cd
3 5 1
Direct
0.0000 0.4140 0.0000
0.4140 0.0000 0.0000
0.5860 0.5860 0.0000
0.0000 0.7818 0.5000
0.2182 0.2182 0.5000
0.3333 0.6667 0.5000
0.6667 0.3333 0.5000
0.7818 0.0000 0.5000
0.0000 0.0000 0.0000
```


2.
Computed powder X-ray diffraction pattern of LiMo2Ru for Cu Ka, from the GGA-PBE geometry in Alexandria.
Lines closer than 0.1° are merged.

Top 10 peaks for 2θ = 5–70°, low angle first:
| 2θ (°) | I_rel |
| --- | --- |
| 15.8 | 17 |
| 28.0 | 18 |
| 31.9 | 6 |
| 32.3 | 34 |
| 40.0 | 64 |
| 42.9 | 100 |
| 57.8 | 21 |
| 64.7 | 8 |
| 66.6 | 6 |
| 67.8 | 8 |

Structural model:
```
LiMo2Ru
1.0
3.1890 0.0000 0.0000
0.0000 3.1890 0.0000
0.0000 0.0000 5.6166
Li Mo Ru
1 2 1
Direct
0.0000 0.0000 0.0000
0.0000 0.0000 0.5088
0.5000 0.5000 0.2478
0.5000 0.5000 0.7852
```


3.
Computed powder X-ray diffraction pattern of Th6SiGe2Te3 for Cu Ka, from the GGA-PBE geometry in Alexandria.
Lines closer than 0.1° are merged.

Top 10 peaks for 2θ = 5–70°, low angle first:
| 2θ (°) | I_rel |
| --- | --- |
| 25.0 | 24 |
| 28.7 | 100 |
| 31.3 | 11 |
| 40.6 | 32 |
| 41.5 | 40 |
| 51.3 | 20 |
| 56.7 | 10 |
| 59.5 | 11 |
| 66.7 | 10 |
| 68.0 | 18 |

Structural model:
```
Th6SiGe2Te3
1.0
9.6496 -2.1754 0.0000
9.6496 2.1754 0.0000
-2.2965 0.0000 8.5874
Th Si Ge Te
6 1 2 3
Direct
0.0066 0.0066 0.2257
0.3258 0.3258 0.4361
0.3432 0.3432 0.9000
0.6568 0.6568 0.1000
0.6742 0.6742 0.5639
0.9934 0.9934 0.7743
0.5000 0.5000 0.0000
0.1665 0.1665 0.3330
0.8335 0.8335 0.6670
0.1677 0.1677 0.8332
0.5000 0.5000 0.5000
0.8323 0.8323 0.1668
```


4.
Computed powder X-ray diffraction pattern of PuU5C6 for Cu Ka, from the GGA-PBE geometry in Alexandria.
Lines closer than 0.1° are merged.

Top 10 peaks for 2θ = 5–70°, low angle first:
| 2θ (°) | I_rel |
| --- | --- |
| 31.2 | 41 |
| 31.3 | 41 |
| 31.4 | 81 |
| 36.3 | 100 |
| 52.3 | 24 |
| 52.4 | 24 |
| 62.1 | 19 |
| 62.3 | 25 |
| 62.4 | 19 |
| 62.5 | 12 |

Structural model:
```
PuU5C6
1.0
3.0385 -5.2213 0.0000
3.0385 5.2213 0.0000
-2.0003 0.0000 5.7124
Pu U C
1 5 6
Direct
0.0000 0.0000 0.0000
0.1618 0.8382 0.5000
0.3312 0.6688 0.0000
0.5000 0.5000 0.5000
0.6688 0.3312 0.0000
0.8382 0.1618 0.5000
0.0891 0.4377 0.2646
0.2698 0.2698 0.7501
0.4377 0.0891 0.2646
0.5623 0.9109 0.7354
0.7302 0.7302 0.2499
0.9109 0.5623 0.7354
```


5.
Computed powder X-ray diffraction pattern of Pm3SmRh2 for Cu Ka, from the GGA-PBE geometry in Alexandria.
Lines closer than 0.1° are merged.

Top 10 peaks for 2θ = 5–70°, low angle first:
| 2θ (°) | I_rel |
| --- | --- |
| 29.8 | 100 |
| 30.7 | 29 |
| 31.8 | 18 |
| 32.3 | 68 |
| 32.7 | 17 |
| 35.5 | 43 |
| 36.8 | 56 |
| 38.5 | 17 |
| 42.9 | 17 |
| 54.9 | 30 |

Structural model:
```
Pm3SmRh2
1.0
4.8823 0.0000 0.0000
0.0000 8.8849 0.0000
0.0000 0.0000 7.2651
Pm Sm Rh
6 2 4
Direct
0.0000 0.0861 0.0000
0.0000 0.3398 0.3665
0.0000 0.6602 0.8665
0.0000 0.9139 0.5000
0.5000 0.1614 0.6469
0.5000 0.8386 0.1469
0.5000 0.4142 0.0139
0.5000 0.5858 0.5139
0.0000 0.3317 0.7640
0.0000 0.6683 0.2640
0.5000 0.1698 0.2497
0.5000 0.8302 0.7497
```